[1]
Simulated powder XRD pattern
Compound: NbFePt6
Radiation: Cu Kα X-rays
Structure: DFT lattice parameters and positions (PBE)
Lines closer than 0.1° are merged.

Structure:
Cell: 3.9732 3.9732 7.8756 Å, 90.00 90.00 90.00°
Space group P4/mmm (No. 123)
Symmetry-distinct sites (fractional):
1 Nb 0.0000 0.0000 0.0000 x1
2 Fe 0.0000 0.0000 0.5000 x1
3 Pt 0.0000 0.5000 0.2508 x4
4 Pt 0.5000 0.5000 0.0000 x1
5 Pt 0.5000 0.5000 0.5000 x1

The 10 most intense peaks (15 to 90 degrees two-theta), low angle first:
22.4 deg, intensity 63
32.0 deg, intensity 53
39.4 deg, intensity 1000
45.7 deg, intensity 330
46.1 deg, intensity 160
66.6 deg, intensity 108
66.9 deg, intensity 212
80.2 deg, intensity 258
80.8 deg, intensity 127
84.8 deg, intensity 114

[2]
Simulated powder XRD pattern
Compound: Nb6Fe5Ru
Radiation: Cu Kα X-rays
Structure: DFT lattice parameters and positions (PBE)
Lines closer than 0.1° are merged.

Structure:
Cell: 4.3878 6.1929 6.9318 Å, 90.00 108.29 90.00°
Space group P2/m (No. 10)
Symmetry-distinct sites (fractional):
1 Nb 0.0000 0.2442 0.0000 x2
2 Nb 0.3306 0.2480 0.6608 x4
3 Fe 0.1653 0.0000 0.3310 x2
4 Fe 0.1653 0.5000 0.3314 x2
5 Fe 0.5000 0.0000 0.0000 x1
6 Ru 0.5000 0.5000 0.0000 x1

The 10 most intense peaks (15 to 90 degrees two-theta), low angle first:
28.8 deg, intensity 43
41.2 deg, intensity 1000
51.0 deg, intensity 12
59.5 deg, intensity 54
59.7 deg, intensity 106
67.6 deg, intensity 11
75.0 deg, intensity 104
75.1 deg, intensity 208
89.3 deg, intensity 67
89.5 deg, intensity 33

[3]
Simulated powder XRD pattern
Compound: Nb6FeRu
Radiation: Cu Kα X-rays
Structure: DFT lattice parameters and positions (PBE)
Lines closer than 0.1° are merged.

Structure:
Cell: 4.5709 4.5709 12.9329 Å, 90.00 90.00 90.00°
Space group I4/mmm (No. 139)
Symmetry-distinct sites (fractional):
1 Nb 0.0000 0.0000 0.2493 x4
2 Nb 0.0000 0.5000 0.1204 x8
3 Fe 0.0000 0.0000 0.0000 x2
4 Ru 0.0000 0.0000 0.5000 x2

The 7 most intense peaks (15 to 90 degrees two-theta), low angle first:
20.6 deg, intensity 12
28.5 deg, intensity 7
30.9 deg, intensity 6
39.4 deg, intensity 1000
57.0 deg, intensity 164
71.5 deg, intensity 324
84.8 deg, intensity 102

[4]
Simulated powder XRD pattern
Compound: NbFeSiRu
Radiation: Cu Kα X-rays
Structure: DFT lattice parameters and positions (PBE)
Lines closer than 0.1° are merged.

Structure:
Cell: 6.0288 6.0288 6.0288 Å, 90.00 90.00 90.00°
Space group F-43m (No. 216)
Symmetry-distinct sites (fractional):
1 Nb 0.0000 0.0000 0.0000 x4
2 Fe 0.2500 0.2500 0.2500 x4
3 Si 0.0000 0.0000 0.5000 x4
4 Ru 0.2500 0.2500 0.7500 x4

The 10 most intense peaks (15 to 90 degrees two-theta), low angle first:
25.6 deg, intensity 204
29.6 deg, intensity 24
42.4 deg, intensity 1000
50.2 deg, intensity 98
52.6 deg, intensity 6
61.5 deg, intensity 159
67.8 deg, intensity 40
69.8 deg, intensity 7
77.6 deg, intensity 317
83.3 deg, intensity 30

[5]
Simulated powder XRD pattern
Compound: Nb3FeSe10
Radiation: Cu Kα X-rays
Structure: DFT lattice parameters and positions (PBE)
Lines closer than 0.1° are merged.

Structure:
Cell: 9.9843 3.5319 10.1709 Å, 90.00 111.67 90.00°
Space group Pm (No. 6)
Symmetry-distinct sites (fractional):
1 Nb 0.0000 0.0000 0.0000 x1
2 Nb 0.1680 0.5000 0.7094 x1
3 Nb 0.4122 0.5000 0.2608 x1
4 Fe 0.2473 0.0000 0.5229 x1
5 Se 0.0671 0.5000 0.4514 x1
6 Se 0.1979 0.5000 0.9952 x1
7 Se 0.2181 0.0000 0.2709 x1
8 Se 0.3682 0.0000 0.7774 x1
9 Se 0.4217 0.5000 0.5319 x1
10 Se 0.5282 0.0000 0.1342 x1
11 Se 0.6237 0.0000 0.3842 x1
12 Se 0.7879 0.5000 0.8782 x1
13 Se 0.8849 0.5000 0.1288 x1
14 Se 0.9706 0.0000 0.7201 x1

The 10 most intense peaks (15 to 90 degrees two-theta), low angle first:
15.7 deg, intensity 509
17.6 deg, intensity 129
31.1 deg, intensity 1000
35.6 deg, intensity 366
37.1 deg, intensity 353
38.7 deg, intensity 304
41.3 deg, intensity 137
42.2 deg, intensity 311
44.1 deg, intensity 238
51.8 deg, intensity 238

[6]
Simulated powder XRD pattern
Compound: Nb4FeSe8
Radiation: Cu Kα X-rays
Structure: DFT lattice parameters and positions (PBE)
Lines closer than 0.1° are merged.

Structure:
Cell: 6.9871 6.9871 12.7783 Å, 90.00 90.00 120.00°
Space group P6_3/mmc (No. 194)
Symmetry-distinct sites (fractional):
1 Nb 0.0000 0.0000 0.2500 x2
2 Nb 0.0162 0.5081 0.2500 x6
3 Fe 0.0000 0.0000 0.0000 x2
4 Se 0.1683 0.3367 0.6198 x12
5 Se 0.3333 0.6667 0.1137 x4

The 10 most intense peaks (15 to 90 degrees two-theta), low angle first:
30.4 deg, intensity 572
32.8 deg, intensity 403
36.4 deg, intensity 473
41.1 deg, intensity 1000
46.5 deg, intensity 110
52.4 deg, intensity 491
57.7 deg, intensity 114
59.1 deg, intensity 139
68.6 deg, intensity 205
81.7 deg, intensity 245

[7]
Simulated powder XRD pattern
Compound: NbFeSe6
Radiation: Cu Kα X-rays
Structure: DFT lattice parameters and positions (PBE)
Lines closer than 0.1° are merged.

Structure:
Cell: 5.9260 6.0926 6.1735 Å, 70.75 63.89 63.81°
Space group P-1 (No. 2)
Symmetry-distinct sites (fractional):
1 Nb 0.0000 0.0000 0.0000 x1
2 Fe 0.5000 0.5000 0.5000 x1
3 Se 0.0566 0.7365 0.7321 x2
4 Se 0.3193 0.5838 0.1827 x2
5 Se 0.4096 0.1141 0.6722 x2

The 10 most intense peaks (15 to 90 degrees two-theta), low angle first:
19.5 deg, intensity 825
31.0 deg, intensity 1000
31.8 deg, intensity 589
33.9 deg, intensity 313
34.5 deg, intensity 467
36.3 deg, intensity 565
44.3 deg, intensity 290
46.0 deg, intensity 322
50.1 deg, intensity 329
50.8 deg, intensity 402

[8]
Simulated powder XRD pattern
Compound: Nb2VFeSe10
Radiation: Cu Kα X-rays
Structure: DFT lattice parameters and positions (PBE)
Lines closer than 0.1° are merged.

Structure:
Cell: 9.9755 3.4863 10.0480 Å, 90.00 111.11 90.00°
Space group Pm (No. 6)
Symmetry-distinct sites (fractional):
1 Nb 0.0000 0.0000 0.0000 x1
2 Nb 0.2581 0.5000 0.4107 x1
3 V 0.5445 0.0000 0.2454 x1
4 Fe 0.7308 0.5000 0.1626 x1
5 Se 0.1252 0.0000 0.5253 x1
6 Se 0.1303 0.5000 0.8837 x1
7 Se 0.2681 0.0000 0.2149 x1
8 Se 0.3802 0.0000 0.6213 x1
9 Se 0.4778 0.5000 0.0591 x1
10 Se 0.5394 0.5000 0.4332 x1
11 Se 0.7227 0.0000 0.9888 x1
12 Se 0.7946 0.0000 0.3401 x1
13 Se 0.8756 0.5000 0.7902 x1
14 Se 0.9870 0.5000 0.1933 x1

The 10 most intense peaks (15 to 90 degrees two-theta), low angle first:
15.6 deg, intensity 481
31.4 deg, intensity 1000
36.3 deg, intensity 388
37.2 deg, intensity 362
38.7 deg, intensity 362
38.9 deg, intensity 128
42.6 deg, intensity 281
44.9 deg, intensity 306
52.5 deg, intensity 236
65.5 deg, intensity 158